[1]
Structure and computed X-ray powder pattern of SiAg2PbS4 (a structure optimized by DFT (PBE); Cu Kα, 1.54184 Å).
No peak broadening, texture or thermal motion is included.

Main lines, by intensity (2θ from 10° to 90°):
- 3.089 Å, 2θ = 28.9°, rel. 100
- 2.320 Å, 2θ = 38.8°, rel. 80
- 3.425 Å, 2θ = 26.0°, rel. 73
- 2.639 Å, 2θ = 34.0°, rel. 69
- 2.491 Å, 2θ = 36.1°, rel. 68
- 3.797 Å, 2θ = 23.4°, rel. 64
- 5.078 Å, 2θ = 17.5°, rel. 59
- 2.913 Å, 2θ = 30.7°, rel. 56
- 2.838 Å, 2θ = 31.5°, rel. 55
- 1.623 Å, 2θ = 56.7°, rel. 43
- 5.191 Å, 2θ = 17.1°, rel. 41
- 2.281 Å, 2θ = 39.5°, rel. 40

Atomic structure:
a = 10.155 Å, b = 6.219 Å, c = 6.219 Å
α = 113.16°, β = 90.00°, γ = 90.00°
Fractional positions:
Si1 0.250 0.201 0.799
Si2 0.750 0.799 0.201
Ag1 0.100 0.831 0.065
Ag2 0.400 0.831 0.065
Ag3 0.600 0.065 0.831
Ag4 0.900 0.065 0.831
Pb1 0.000 0.464 0.464
Pb2 0.500 0.464 0.464
S1 0.075 0.378 0.981
S2 0.250 0.213 0.460
S3 0.250 0.838 0.748
S4 0.425 0.378 0.981
S5 0.575 0.981 0.378
S6 0.750 0.460 0.213
S7 0.750 0.748 0.838
S8 0.925 0.981 0.378

[2]
Structure and computed X-ray powder pattern of Ho2ErSc3NiTe2 (a structure optimized by DFT (PBE); Cu Kα, 1.54184 Å).
No peak broadening, texture or thermal motion is included.

Main lines, by intensity (2θ from 10° to 90°):
- 2.794 Å, 2θ = 32.0°, rel. 100
- 2.590 Å, 2θ = 34.6°, rel. 53
- 2.303 Å, 2θ = 39.1°, rel. 35
- 3.989 Å, 2θ = 22.3°, rel. 31
- 2.611 Å, 2θ = 34.3°, rel. 27
- 1.469 Å, 2θ = 63.3°, rel. 20
- 2.172 Å, 2θ = 41.6°, rel. 18
- 1.492 Å, 2θ = 62.2°, rel. 18
- 1.721 Å, 2θ = 53.2°, rel. 17
- 1.958 Å, 2θ = 46.4°, rel. 16
- 1.916 Å, 2θ = 47.4°, rel. 14
- 1.566 Å, 2θ = 59.0°, rel. 11

Atomic structure:
a = 3.915 Å, b = 7.979 Å, c = 7.979 Å
α = 120.04°, β = 90.00°, γ = 90.00°
Fractional positions:
Ho1 0.000 0.196 0.804
Ho2 0.000 0.804 0.196
Er1 0.000 0.412 0.412
Sc1 0.500 0.036 0.036
Sc2 0.500 0.572 0.804
Sc3 0.500 0.804 0.572
Ni1 0.000 0.802 0.802
Te1 0.500 0.138 0.470
Te2 0.500 0.470 0.138